# 1
# VReB
Theoretical XRD peak list, Cu Ka. Input: a structure optimized by DFT (GGA-PBE).

abc: 5.399 4.497 4.412
angles: 74.60 53.42 51.98
Positions (direct):
1 V 0.170 0.830 0.170
2 V 0.830 0.170 0.830
3 Re 0.334 0.334 0.666
4 Re 0.666 0.666 0.334
5 B 0.250 0.250 0.250
6 B 0.750 0.750 0.750

Main lines, low angle first (2θ = 10–90°):
- 2θ 23.61, d = 3.768 Å, intensity 55
- 2θ 25.47, d = 3.497 Å, intensity 39
- 2θ 33.20, d = 2.699 Å, intensity 27
- 2θ 39.25, d = 2.296 Å, intensity 36
- 2θ 41.94, d = 2.154 Å, intensity 100
- 2θ 42.66, d = 2.119 Å, intensity 44
- 2θ 46.31, d = 1.960 Å, intensity 24
- 2θ 52.32, d = 1.749 Å, intensity 19
- 2θ 54.80, d = 1.675 Å, intensity 20
- 2θ 72.98, d = 1.296 Å, intensity 19
- 2θ 73.48, d = 1.289 Å, intensity 14
- 2θ 76.03, d = 1.252 Å, intensity 18

# 2
# Y2ReB6
Theoretical XRD peak list, Cu Ka. Input: a structure optimized by DFT (GGA-PBE).

abc: 9.197 11.588 3.684
angles: 90.00 90.00 90.00
Positions (direct):
1 Y 0.057 0.130 0.000
2 Y 0.177 0.414 0.000
3 Y 0.323 0.914 0.000
4 Y 0.443 0.630 0.000
5 Y 0.557 0.370 0.000
6 Y 0.677 0.086 0.000
7 Y 0.823 0.586 0.000
8 Y 0.943 0.870 0.000
9 Re 0.138 0.679 0.000
10 Re 0.362 0.179 0.000
11 Re 0.638 0.821 0.000
12 Re 0.862 0.321 0.000
13 B 0.018 0.288 0.500
14 B 0.053 0.567 0.500
15 B 0.100 0.972 0.500
16 B 0.130 0.814 0.500
17 B 0.209 0.235 0.500
18 B 0.249 0.582 0.500
19 B 0.251 0.082 0.500
20 B 0.291 0.735 0.500
21 B 0.370 0.314 0.500
22 B 0.400 0.472 0.500
23 B 0.447 0.067 0.500
24 B 0.482 0.788 0.500
25 B 0.518 0.212 0.500
26 B 0.553 0.933 0.500
27 B 0.600 0.528 0.500
28 B 0.630 0.686 0.500
29 B 0.709 0.265 0.500
30 B 0.749 0.918 0.500
31 B 0.751 0.418 0.500
32 B 0.791 0.765 0.500
33 B 0.870 0.186 0.500
34 B 0.900 0.028 0.500
35 B 0.947 0.433 0.500
36 B 0.982 0.712 0.500

Main lines, low angle first (2θ = 10–90°):
- 2θ 18.10, d = 4.902 Å, intensity 22
- 2θ 20.78, d = 4.274 Å, intensity 22
- 2θ 24.16, d = 3.684 Å, intensity 100
- 2θ 30.18, d = 2.961 Å, intensity 55
- 2θ 32.40, d = 2.763 Å, intensity 38
- 2θ 33.06, d = 2.710 Å, intensity 23
- 2θ 37.45, d = 2.401 Å, intensity 22
- 2θ 39.03, d = 2.308 Å, intensity 72
- 2θ 40.82, d = 2.210 Å, intensity 50
- 2θ 41.36, d = 2.183 Å, intensity 32
- 2θ 45.07, d = 2.012 Å, intensity 31
- 2θ 49.48, d = 1.842 Å, intensity 25

# 3
# Zr9Re4B
Theoretical XRD peak list, Cu Ka. Input: a structure optimized by DFT (GGA-PBE).

abc: 8.513 8.513 8.702
angles: 90.00 90.00 120.00
Positions (direct):
1 Zr 0.079 0.540 0.250
2 Zr 0.201 0.402 0.555
3 Zr 0.201 0.402 0.945
4 Zr 0.201 0.799 0.555
5 Zr 0.201 0.799 0.945
6 Zr 0.402 0.201 0.055
7 Zr 0.402 0.201 0.445
8 Zr 0.460 0.540 0.250
9 Zr 0.460 0.921 0.250
10 Zr 0.540 0.079 0.750
11 Zr 0.540 0.460 0.750
12 Zr 0.598 0.799 0.555
13 Zr 0.598 0.799 0.945
14 Zr 0.799 0.201 0.055
15 Zr 0.799 0.201 0.445
16 Zr 0.799 0.598 0.055
17 Zr 0.799 0.598 0.445
18 Zr 0.921 0.460 0.750
19 Re 0.000 0.000 0.000
20 Re 0.000 0.000 0.500
21 Re 0.108 0.216 0.250
22 Re 0.108 0.892 0.250
23 Re 0.216 0.108 0.750
24 Re 0.784 0.892 0.250
25 Re 0.892 0.108 0.750
26 Re 0.892 0.784 0.750
27 B 0.333 0.667 0.750
28 B 0.667 0.333 0.250

Main lines, low angle first (2θ = 10–90°):
- 2θ 12.00, d = 7.373 Å, intensity 100
- 2θ 33.19, d = 2.699 Å, intensity 18
- 2θ 36.56, d = 2.458 Å, intensity 12
- 2θ 38.05, d = 2.365 Å, intensity 69
- 2θ 38.36, d = 2.347 Å, intensity 93
- 2θ 39.53, d = 2.280 Å, intensity 34
- 2θ 41.51, d = 2.176 Å, intensity 16
- 2θ 42.23, d = 2.140 Å, intensity 11
- 2θ 63.69, d = 1.461 Å, intensity 15
- 2θ 65.78, d = 1.420 Å, intensity 39
- 2θ 67.01, d = 1.397 Å, intensity 16
- 2θ 80.88, d = 1.188 Å, intensity 11

# 4
# B4Rh5
Theoretical XRD peak list, Cu Ka. Input: a structure optimized by DFT (GGA-PBE).

abc: 3.337 3.337 20.525
angles: 90.00 90.00 120.00
Positions (direct):
1 B 0.333 0.667 0.086
2 B 0.333 0.667 0.196
3 B 0.333 0.667 0.304
4 B 0.333 0.667 0.414
5 B 0.667 0.333 0.586
6 B 0.667 0.333 0.696
7 B 0.667 0.333 0.804
8 B 0.667 0.333 0.914
9 Rh 0.000 0.000 0.148
10 Rh 0.000 0.000 0.352
11 Rh 0.000 0.000 0.648
12 Rh 0.000 0.000 0.852
13 Rh 0.333 0.667 0.547
14 Rh 0.333 0.667 0.750
15 Rh 0.333 0.667 0.953
16 Rh 0.667 0.333 0.047
17 Rh 0.667 0.333 0.250
18 Rh 0.667 0.333 0.453

Main lines, low angle first (2θ = 10–90°):
- 2θ 31.25, d = 2.862 Å, intensity 31
- 2θ 32.18, d = 2.782 Å, intensity 15
- 2θ 35.65, d = 2.518 Å, intensity 100
- 2θ 38.08, d = 2.363 Å, intensity 85
- 2θ 40.88, d = 2.208 Å, intensity 54
- 2θ 44.12, d = 2.052 Å, intensity 32
- 2θ 51.01, d = 1.790 Å, intensity 19
- 2θ 55.03, d = 1.669 Å, intensity 60
- 2θ 67.32, d = 1.391 Å, intensity 15
- 2θ 68.89, d = 1.363 Å, intensity 14
- 2θ 72.26, d = 1.307 Å, intensity 15
- 2θ 73.09, d = 1.295 Å, intensity 42